Starting from a PBE-relaxed structure, the PXRD pattern of USn2 was simulated for Cu Ka.

The 6 most intense peaks (2θ from 5° to 70°), by angle:
33.3°, I 100.0; 36.4°, I 18.3; 38.7°, I 17.4; 40.6°, I 15.4; 66.6°, I 14.6; 69.3°, I 12.8

Crystal structure
Cell lengths 7.733, 7.733, 4.654 Å; angles 90.00, 90.00, 146.62 degrees
Sites, in units of the cell vectors:
U (0.154, 0.846, 0.000)
U (0.846, 0.154, 0.000)
Sn (0.000, 0.000, 0.500)
Sn (0.323, 0.677, 0.500)
Sn (0.500, 0.500, 0.000)
Sn (0.677, 0.323, 0.500)

=====

Starting from a PBE-relaxed structure, the PXRD pattern of Te3Pd13 was simulated for Cu Ka.

The 6 most intense peaks (2θ from 5° to 70°), by angle:
22.9°, I 0.7; 36.2°, I 3.4; 39.5°, I 100.0; 54.7°, I 3.3; 57.1°, I 15.9; 62.4°, I 0.7

Crystal structure
Cell lengths 9.120, 9.120, 9.120 Å; angles 60.00, 60.00, 60.00 degrees
Sites, in units of the cell vectors:
Te (0.000, 0.000, 0.000)
Te (0.000, 0.000, 0.500)
Te (0.000, 0.500, 0.000)
Te (0.375, 0.375, 0.375)
Te (0.500, 0.000, 0.000)
Te (0.625, 0.625, 0.625)
Pd (0.000, 0.500, 0.500)
Pd (0.113, 0.113, 0.637)
Pd (0.113, 0.637, 0.113)
Pd (0.113, 0.637, 0.637)
Pd (0.125, 0.125, 0.125)
Pd (0.260, 0.260, 0.260)
Pd (0.260, 0.260, 0.721)
Pd (0.260, 0.721, 0.260)
Pd (0.279, 0.740, 0.740)
Pd (0.363, 0.363, 0.887)
Pd (0.363, 0.887, 0.363)
Pd (0.363, 0.887, 0.887)
Pd (0.500, 0.000, 0.500)
Pd (0.500, 0.500, 0.000)
Pd (0.500, 0.500, 0.500)
Pd (0.637, 0.113, 0.113)
Pd (0.637, 0.113, 0.637)
Pd (0.637, 0.637, 0.113)
Pd (0.721, 0.260, 0.260)
Pd (0.740, 0.279, 0.740)
Pd (0.740, 0.740, 0.279)
Pd (0.740, 0.740, 0.740)
Pd (0.875, 0.875, 0.875)
Pd (0.887, 0.363, 0.363)
Pd (0.887, 0.363, 0.887)
Pd (0.887, 0.887, 0.363)

=====

Starting from a PBE-relaxed structure, the PXRD pattern of PmErZn2 was simulated for Cu Ka.

The 6 most intense peaks (2θ from 5° to 70°), by angle:
24.7°, I 17.0; 35.2°, I 100.0; 43.4°, I 5.2; 50.6°, I 17.7; 57.1°, I 7.2; 63.1°, I 35.8

Crystal structure
Cell lengths 5.102, 5.102, 5.102 Å; angles 60.00, 60.00, 60.00 degrees
Sites, in units of the cell vectors:
Pm (0.000, 0.000, 0.000)
Er (0.500, 0.500, 0.500)
Zn (0.250, 0.250, 0.250)
Zn (0.750, 0.750, 0.750)

=====

Starting from a PBE-relaxed structure, the PXRD pattern of Tb2Si5Os3 was simulated for Cu Ka.

The 6 most intense peaks (2θ from 5° to 70°), by angle:
26.2°, I 100.0; 30.6°, I 74.3; 33.6°, I 47.7; 37.4°, I 47.6; 38.0°, I 85.5; 39.5°, I 59.9

Crystal structure
Cell lengths 10.748, 10.748, 5.700 Å; angles 90.00, 90.00, 90.00 degrees
Sites, in units of the cell vectors:
Tb (0.070, 0.235, 0.000)
Tb (0.235, 0.930, 0.000)
Tb (0.265, 0.430, 0.500)
Tb (0.430, 0.735, 0.500)
Tb (0.570, 0.265, 0.500)
Tb (0.735, 0.570, 0.500)
Tb (0.765, 0.070, 0.000)
Tb (0.930, 0.765, 0.000)
Si (0.000, 0.000, 0.257)
Si (0.000, 0.000, 0.743)
Si (0.026, 0.320, 0.500)
Si (0.173, 0.673, 0.250)
Si (0.173, 0.673, 0.750)
Si (0.180, 0.474, 0.000)
Si (0.320, 0.974, 0.500)
Si (0.327, 0.173, 0.250)
Si (0.327, 0.173, 0.750)
Si (0.474, 0.820, 0.000)
Si (0.500, 0.500, 0.243)
Si (0.500, 0.500, 0.757)
Si (0.526, 0.180, 0.000)
Si (0.673, 0.827, 0.250)
Si (0.673, 0.827, 0.750)
Si (0.680, 0.026, 0.500)
Si (0.820, 0.526, 0.000)
Si (0.827, 0.327, 0.250)
Si (0.827, 0.327, 0.750)
Si (0.974, 0.680, 0.500)
Os (0.000, 0.500, 0.250)
Os (0.000, 0.500, 0.750)
Os (0.126, 0.853, 0.500)
Os (0.147, 0.126, 0.500)
Os (0.353, 0.626, 0.000)
Os (0.374, 0.353, 0.000)
Os (0.500, 0.000, 0.250)
Os (0.500, 0.000, 0.750)
Os (0.626, 0.647, 0.000)
Os (0.647, 0.374, 0.000)
Os (0.853, 0.874, 0.500)
Os (0.874, 0.147, 0.500)

=====

Starting from a PBE-relaxed structure, the PXRD pattern of YSbPb2O6 was simulated for Cu Ka.

The 6 most intense peaks (2θ from 5° to 70°), by angle:
29.7°, I 25.6; 30.0°, I 100.0; 30.1°, I 22.0; 42.8°, I 24.3; 53.0°, I 17.0; 53.4°, I 17.8

Crystal structure
Cell lengths 5.967, 5.967, 10.312 Å; angles 106.28, 106.28, 59.67 degrees
Sites, in units of the cell vectors:
Y (0.248, 0.752, 0.750)
Y (0.752, 0.248, 0.250)
Sb (0.000, 0.500, 0.000)
Sb (0.500, 0.000, 0.500)
Pb (0.154, 0.581, 0.373)
Pb (0.419, 0.846, 0.127)
Pb (0.581, 0.154, 0.873)
Pb (0.846, 0.419, 0.627)
O (0.141, 0.171, 0.384)
O (0.171, 0.141, 0.884)
O (0.191, 0.606, 0.913)
O (0.316, 0.390, 0.150)
O (0.390, 0.316, 0.650)
O (0.394, 0.809, 0.587)
O (0.606, 0.191, 0.413)
O (0.610, 0.684, 0.350)
O (0.684, 0.610, 0.850)
O (0.809, 0.394, 0.087)
O (0.829, 0.859, 0.116)
O (0.859, 0.829, 0.616)

=====

Starting from a PBE-relaxed structure, the PXRD pattern of SiBr4 was simulated for Cu Ka.

The 6 most intense peaks (2θ from 5° to 70°), by angle:
16.3°, I 21.2; 17.8°, I 22.1; 25.3°, I 100.0; 29.3°, I 38.0; 41.9°, I 31.3; 49.6°, I 23.3

Crystal structure
Cell lengths 12.196, 12.196, 12.196 Å; angles 90.00, 90.00, 90.00 degrees
Sites, in units of the cell vectors:
Si (0.132, 0.132, 0.132)
Si (0.132, 0.368, 0.632)
Si (0.368, 0.632, 0.132)
Si (0.368, 0.868, 0.632)
Si (0.632, 0.132, 0.368)
Si (0.632, 0.368, 0.868)
Si (0.868, 0.632, 0.368)
Si (0.868, 0.868, 0.868)
Br (0.021, 0.237, 0.034)
Br (0.021, 0.263, 0.534)
Br (0.034, 0.021, 0.237)
Br (0.034, 0.479, 0.737)
Br (0.237, 0.034, 0.021)
Br (0.237, 0.237, 0.237)
Br (0.237, 0.263, 0.737)
Br (0.237, 0.466, 0.521)
Br (0.263, 0.534, 0.021)
Br (0.263, 0.737, 0.237)
Br (0.263, 0.763, 0.737)
Br (0.263, 0.966, 0.521)
Br (0.466, 0.521, 0.237)
Br (0.466, 0.979, 0.737)
Br (0.479, 0.737, 0.034)
Br (0.479, 0.763, 0.534)
Br (0.521, 0.237, 0.466)
Br (0.521, 0.263, 0.966)
Br (0.534, 0.021, 0.263)
Br (0.534, 0.479, 0.763)
Br (0.737, 0.034, 0.479)
Br (0.737, 0.237, 0.263)
Br (0.737, 0.263, 0.763)
Br (0.737, 0.466, 0.979)
Br (0.763, 0.534, 0.479)
Br (0.763, 0.737, 0.263)
Br (0.763, 0.763, 0.763)
Br (0.763, 0.966, 0.979)
Br (0.966, 0.521, 0.263)
Br (0.966, 0.979, 0.763)
Br (0.979, 0.737, 0.466)
Br (0.979, 0.763, 0.966)

=====

Starting from a PBE-relaxed structure, the PXRD pattern of LaCePd6 was simulated for Cu Ka.

The 6 most intense peaks (2θ from 5° to 70°), by angle:
21.1°, I 1.2; 37.1°, I 100.0; 43.0°, I 32.9; 43.2°, I 16.0; 62.4°, I 10.7; 62.6°, I 20.8

Crystal structure
Cell lengths 4.207, 4.207, 8.383 Å; angles 90.00, 90.00, 90.00 degrees
Sites, in units of the cell vectors:
La (0.000, 0.000, 0.000)
Ce (0.000, 0.000, 0.500)
Pd (0.000, 0.500, 0.258)
Pd (0.000, 0.500, 0.742)
Pd (0.500, 0.000, 0.258)
Pd (0.500, 0.000, 0.742)
Pd (0.500, 0.500, 0.000)
Pd (0.500, 0.500, 0.500)

=====

Starting from a PBE-relaxed structure, the PXRD pattern of Ta2CN3 was simulated for Cu Ka.

The 6 most intense peaks (2θ from 5° to 70°), by angle:
18.9°, I 100.0; 31.7°, I 26.5; 33.1°, I 96.3; 37.2°, I 34.8; 46.5°, I 78.3; 68.7°, I 24.6

Crystal structure
Cell lengths 5.408, 5.408, 2.826 Å; angles 90.00, 90.00, 120.00 degrees
Sites, in units of the cell vectors:
Ta (0.333, 0.667, 0.000)
Ta (0.667, 0.333, 0.000)
C (0.000, 0.000, 0.500)
N (0.000, 0.500, 0.500)
N (0.500, 0.000, 0.500)
N (0.500, 0.500, 0.500)

=====

Starting from a PBE-relaxed structure, the PXRD pattern of UPbSe2O8 was simulated for Cu Ka.

The 6 most intense peaks (2θ from 5° to 70°), by angle:
21.0°, I 12.8; 22.4°, I 11.3; 26.1°, I 100.0; 29.3°, I 21.1; 43.3°, I 13.1; 50.1°, I 19.5

Crystal structure
Cell lengths 12.193, 5.890, 11.475 Å; angles 90.00, 90.00, 90.00 degrees
Sites, in units of the cell vectors:
U (0.249, 0.000, 0.000)
U (0.249, 0.000, 0.500)
U (0.751, 0.000, 0.000)
U (0.751, 0.000, 0.500)
Pb (0.000, 0.486, 0.051)
Pb (0.000, 0.514, 0.551)
Pb (0.500, 0.051, 0.254)
Pb (0.500, 0.949, 0.754)
Se (0.000, 0.140, 0.306)
Se (0.000, 0.860, 0.806)
Se (0.266, 0.375, 0.725)
Se (0.266, 0.625, 0.225)
Se (0.500, 0.402, 0.991)
Se (0.500, 0.598, 0.491)
Se (0.734, 0.375, 0.725)
Se (0.734, 0.625, 0.225)
O (0.000, 0.410, 0.254)
O (0.000, 0.590, 0.754)
O (0.107, 0.162, 0.407)
O (0.107, 0.838, 0.907)
O (0.157, 0.173, 0.091)
O (0.157, 0.827, 0.591)
O (0.165, 0.310, 0.622)
O (0.165, 0.690, 0.122)
O (0.220, 0.255, 0.853)
O (0.220, 0.745, 0.353)
O (0.344, 0.170, 0.410)
O (0.344, 0.830, 0.910)
O (0.352, 0.164, 0.666)
O (0.352, 0.836, 0.166)
O (0.391, 0.249, 0.052)
O (0.391, 0.751, 0.552)
O (0.500, 0.322, 0.848)
O (0.500, 0.678, 0.348)
O (0.609, 0.249, 0.052)
O (0.609, 0.751, 0.552)
O (0.648, 0.164, 0.666)
O (0.648, 0.836, 0.166)
O (0.656, 0.170, 0.410)
O (0.656, 0.830, 0.910)
O (0.780, 0.255, 0.853)
O (0.780, 0.745, 0.353)
O (0.835, 0.310, 0.622)
O (0.835, 0.690, 0.122)
O (0.843, 0.173, 0.091)
O (0.843, 0.827, 0.591)
O (0.893, 0.162, 0.407)
O (0.893, 0.838, 0.907)

=====

Starting from a PBE-relaxed structure, the PXRD pattern of Sm4Sb3 was simulated for Cu Ka.

The 6 most intense peaks (2θ from 5° to 70°), by angle:
30.1°, I 100.0; 35.7°, I 66.8; 47.4°, I 17.5; 49.4°, I 23.3; 60.7°, I 25.2; 64.2°, I 14.5

Crystal structure
Cell lengths 8.144, 8.144, 8.144 Å; angles 109.47, 109.47, 109.47 degrees
Sites, in units of the cell vectors:
Sm (0.000, 0.143, 0.500)
Sm (0.000, 0.643, 0.500)
Sm (0.143, 0.500, 0.000)
Sm (0.357, 0.357, 0.357)
Sm (0.500, 0.000, 0.143)
Sm (0.500, 0.000, 0.643)
Sm (0.643, 0.500, 0.000)
Sm (0.857, 0.857, 0.857)
Sb (0.125, 0.875, 0.250)
Sb (0.250, 0.125, 0.875)
Sb (0.375, 0.625, 0.750)
Sb (0.625, 0.750, 0.375)
Sb (0.750, 0.375, 0.625)
Sb (0.875, 0.250, 0.125)

=====

Please write out number 2 again, unchanged.
Starting from a PBE-relaxed structure, the PXRD pattern of Te3Pd13 was simulated for Cu Ka.

The 6 most intense peaks (2θ from 5° to 70°), by angle:
22.9°, I 0.7; 36.2°, I 3.4; 39.5°, I 100.0; 54.7°, I 3.3; 57.1°, I 15.9; 62.4°, I 0.7

Crystal structure
Cell lengths 9.120, 9.120, 9.120 Å; angles 60.00, 60.00, 60.00 degrees
Sites, in units of the cell vectors:
Te (0.000, 0.000, 0.000)
Te (0.000, 0.000, 0.500)
Te (0.000, 0.500, 0.000)
Te (0.375, 0.375, 0.375)
Te (0.500, 0.000, 0.000)
Te (0.625, 0.625, 0.625)
Pd (0.000, 0.500, 0.500)
Pd (0.113, 0.113, 0.637)
Pd (0.113, 0.637, 0.113)
Pd (0.113, 0.637, 0.637)
Pd (0.125, 0.125, 0.125)
Pd (0.260, 0.260, 0.260)
Pd (0.260, 0.260, 0.721)
Pd (0.260, 0.721, 0.260)
Pd (0.279, 0.740, 0.740)
Pd (0.363, 0.363, 0.887)
Pd (0.363, 0.887, 0.363)
Pd (0.363, 0.887, 0.887)
Pd (0.500, 0.000, 0.500)
Pd (0.500, 0.500, 0.000)
Pd (0.500, 0.500, 0.500)
Pd (0.637, 0.113, 0.113)
Pd (0.637, 0.113, 0.637)
Pd (0.637, 0.637, 0.113)
Pd (0.721, 0.260, 0.260)
Pd (0.740, 0.279, 0.740)
Pd (0.740, 0.740, 0.279)
Pd (0.740, 0.740, 0.740)
Pd (0.875, 0.875, 0.875)
Pd (0.887, 0.363, 0.363)
Pd (0.887, 0.363, 0.887)
Pd (0.887, 0.887, 0.363)